1.
For Ca2AcPtRh, a cell relaxed with PBE gives the computed powder X-ray diffraction pattern in this record (Cu Kα (weighted mean of Kα1 and Kα2)).
Peak positions follow from Bragg's law for the DFT cell and can differ from measured ones.

Peak list (8 most intense, 2θ = 10–90°, in order of falling intensity)
3.630 Å, 2θ = 24.52°, intensity 100, (1 1 0); 2.567 Å, 2θ = 34.96°, intensity 79, (2 0 0); 3.111 Å, 2θ = 28.69°, intensity 75, (1 1 1); 2.603 Å, 2θ = 34.46°, intensity 69, (1 0 2); 1.828 Å, 2θ = 49.90°, intensity 49, (2 1 2); 3.911 Å, 2θ = 22.73°, intensity 49, (1 0 1); 2.321 Å, 2θ = 38.79°, intensity 39, (1 1 2); 6.039 Å, 2θ = 14.67°, intensity 38, (0 0 1)

```
data_Ca2AcPtRh
_cell_length_a 5.133
_cell_length_b 5.133
_cell_length_c 6.039
_cell_angle_alpha 90.00
_cell_angle_beta 90.00
_cell_angle_gamma 90.00
_symmetry_space_group_name_H-M 'P 4 m m'
_symmetry_Int_Tables_number 99
loop_
_symmetry_equiv_pos_as_xyz
'x,y,z'
'-y,x,z'
'-x,-y,z'
'y,-x,z'
'-x,y,z'
'y,x,z'
'x,-y,z'
'-y,-x,z'
loop_
_atom_site_label
_atom_site_type_symbol
_atom_site_fract_x
_atom_site_fract_y
_atom_site_fract_z
Ca1 Ca 0.000 0.500 0.000
Ac1 Ac 0.000 0.000 0.557
Pt1 Pt 0.500 0.500 0.712
Rh1 Rh 0.000 0.000 0.110
```


2.
For Ti12ZnIn3, a cell relaxed with PBE gives the computed powder X-ray diffraction pattern in this record (Cu Kα (weighted mean of Kα1 and Kα2)).
Peak positions follow from Bragg's law for the DFT cell and can differ from measured ones.

Peak list (8 most intense, 2θ = 10–90°, in order of falling intensity)
2.382 Å, 2θ = 37.76°, intensity 100, (1 1 4); 2.066 Å, 2θ = 43.82°, intensity 32, (2 0 0); 1.245 Å, 2θ = 76.49°, intensity 22, (3 1 4); 1.458 Å, 2θ = 63.85°, intensity 18, (2 0 8); 4.126 Å, 2θ = 21.54°, intensity 17, (0 0 4); 2.057 Å, 2θ = 44.02°, intensity 15, (0 0 8); 2.918 Å, 2θ = 30.64°, intensity 15, (1 1 0); 1.241 Å, 2θ = 76.77°, intensity 10, (1 1 12)

```
data_Ti12ZnIn3
_cell_length_a 4.132
_cell_length_b 4.132
_cell_length_c 16.457
_cell_angle_alpha 90.00
_cell_angle_beta 90.00
_cell_angle_gamma 90.00
_symmetry_space_group_name_H-M 'P 4/m m m'
_symmetry_Int_Tables_number 123
_symmetry_space_group_name_Hall '-P 4 2'
loop_
_atom_site_label
_atom_site_type_symbol
_atom_site_fract_x
_atom_site_fract_y
_atom_site_fract_z
Ti1 Ti 0.000 0.000 0.000
Ti2 Ti 0.000 0.000 0.245
Ti3 Ti 0.000 0.000 0.500
Ti4 Ti 0.000 0.500 0.118
Ti5 Ti 0.000 0.500 0.373
Zn1 Zn 0.500 0.500 0.000
In1 In 0.500 0.500 0.245
In2 In 0.500 0.500 0.500
```